[1]
# Cs2BaSe10
Theoretical XRD peak list, a wavelength of 1.5418 Å. Input: a cell relaxed with GGA-PBE.
Peak positions follow from Bragg's law for the DFT cell and can differ from measured ones.

Crystal structure
```
data_Cs2BaSe10
_chemical_formula_sum 'Cs4 Ba2 Se20'
_space_group_name_H-M_alt 'P 1 21/c 1'
_space_group_IT_number 14
_cell_length_a 7.476
_cell_length_b 6.810
_cell_length_c 18.975
_cell_angle_alpha 90.00
_cell_angle_beta 108.15
_cell_angle_gamma 90.00
loop_
_space_group_symop_operation_xyz
'x,y,z'
'-x,-y,-z'
'-x,y+1/2,-z+1/2'
'x,-y+1/2,z+1/2'
loop_
_atom_site_label
_atom_site_type_symbol
_atom_site_fract_x
_atom_site_fract_y
_atom_site_fract_z
Cs1 Cs 0.024 0.007 0.150
Ba1 Ba 0.500 0.000 0.500
Se1 Se 0.118 0.006 0.356
Se2 Se 0.131 0.508 0.092
Se3 Se 0.397 0.529 0.537
Se4 Se 0.421 0.110 0.683
Se5 Se 0.448 0.059 0.812
```

Top 10 peaks for 2θ = 15–90°, low angle first:
| h k l | two_theta | intensity |
| --- | --- | --- |
| 1 0 -4 | 19.74 | 50 |
| 2 0 0 | 25.07 | 45 |
| 0 2 0 | 26.17 | 100 |
| 1 0 4 | 26.52 | 53 |
| 2 1 -1 | 27.36 | 22 |
| 2 1 -3 | 28.12 | 59 |
| 0 0 6 | 29.73 | 23 |
| 2 1 -5 | 32.16 | 37 |
| 2 2 0 | 36.56 | 23 |
| 1 2 4 | 37.60 | 47 |


[2]
# CsBaTeSe2
Theoretical XRD peak list, a wavelength of 1.5418 Å. Input: a cell relaxed with GGA-PBE.
Peak positions follow from Bragg's law for the DFT cell and can differ from measured ones.

Crystal structure
```
data_CsBaTeSe2
_chemical_formula_sum 'Cs2 Ba2 Te2 Se4'
_space_group_name_H-M_alt 'P 1 2/c 1'
_space_group_IT_number 13
_cell_length_a 8.467
_cell_length_b 5.133
_cell_length_c 9.825
_cell_angle_alpha 90.00
_cell_angle_beta 98.82
_cell_angle_gamma 90.00
loop_
_space_group_symop_operation_xyz
'x,y,z'
'-x,-y,-z'
'-x,y,-z+1/2'
'x,-y,z+1/2'
loop_
_atom_site_label
_atom_site_type_symbol
_atom_site_fract_x
_atom_site_fract_y
_atom_site_fract_z
Cs1 Cs 0.000 0.132 0.250
Ba1 Ba 0.500 0.492 0.750
Te1 Te 0.500 0.000 0.000
Se1 Se 0.251 0.368 0.971
```

Top 10 peaks for 2θ = 15–90°, low angle first:
| h k l | two_theta | intensity |
| --- | --- | --- |
| 2 0 0 | 21.24 | 36 |
| 1 1 1 | 22.96 | 57 |
| 2 0 -2 | 25.90 | 36 |
| 1 1 -2 | 26.31 | 78 |
| 1 1 2 | 28.54 | 100 |
| 2 1 -2 | 31.30 | 39 |
| 2 1 2 | 35.03 | 39 |
| 1 2 0 | 36.62 | 44 |
| 0 0 4 | 37.02 | 52 |
| 3 1 -2 | 38.87 | 44 |


[3]
# CsBaSi2
Theoretical XRD peak list, a wavelength of 1.5418 Å. Input: a cell relaxed with GGA-PBE.
Peak positions follow from Bragg's law for the DFT cell and can differ from measured ones.

Crystal structure
```
data_CsBaSi2
_chemical_formula_sum 'Cs4 Ba4 Si8'
_space_group_name_H-M_alt 'F m -3 m'
_space_group_IT_number 225
_space_group_name_Hall '-F 4 2 3'
_cell_length_a 8.240
_cell_length_b 8.240
_cell_length_c 8.240
_cell_angle_alpha 90.00
_cell_angle_beta 90.00
_cell_angle_gamma 90.00
loop_
_atom_site_label
_atom_site_type_symbol
_atom_site_fract_x
_atom_site_fract_y
_atom_site_fract_z
Cs1 Cs 0.000 0.000 0.000
Ba1 Ba 0.000 0.000 0.500
Si1 Si 0.250 0.250 0.250
```

Top 10 peaks for 2θ = 15–90°, low angle first:
| h k l | two_theta | intensity |
| --- | --- | --- |
| 2 0 0 | 21.57 | 48 |
| 2 2 0 | 30.69 | 100 |
| 2 2 2 | 37.82 | 15 |
| 4 0 0 | 43.96 | 18 |
| 4 2 0 | 49.47 | 21 |
| 4 2 2 | 54.56 | 38 |
| 4 4 0 | 63.91 | 12 |
| 6 0 0 | 68.30 | 10 |
| 6 2 0 | 72.56 | 17 |
| 6 4 2 | 88.88 | 20 |


[4]
# Cs2BaSn2Te4
Theoretical XRD peak list, a wavelength of 1.5418 Å. Input: a cell relaxed with GGA-PBE.
Peak positions follow from Bragg's law for the DFT cell and can differ from measured ones.

Crystal structure
```
data_Cs2BaSn2Te4
_chemical_formula_sum 'Cs4 Ba2 Sn4 Te8'
_space_group_name_H-M_alt 'C 1 2/m 1'
_space_group_IT_number 12
_cell_length_a 19.838
_cell_length_b 4.612
_cell_length_c 9.818
_cell_angle_alpha 90.00
_cell_angle_beta 117.66
_cell_angle_gamma 90.00
loop_
_space_group_symop_operation_xyz
'x,y,z'
'-x,-y,-z'
'-x,y,-z'
'x,-y,z'
'x+1/2,y+1/2,z'
'-x+1/2,-y+1/2,-z'
'-x+1/2,y+1/2,-z'
'x+1/2,-y+1/2,z'
loop_
_atom_site_label
_atom_site_type_symbol
_atom_site_fract_x
_atom_site_fract_y
_atom_site_fract_z
Cs1 Cs 0.119 0.000 0.047
Ba1 Ba 0.000 0.000 0.500
Sn1 Sn 0.199 0.500 0.544
Te1 Te 0.048 0.500 0.288
Te2 Te 0.194 0.000 0.743
```

Top 10 peaks for 2θ = 15–90°, low angle first:
| h k l | two_theta | intensity |
| --- | --- | --- |
| 4 0 -2 | 21.04 | 21 |
| 1 1 1 | 23.46 | 32 |
| 3 1 -1 | 23.73 | 52 |
| 4 0 1 | 26.64 | 88 |
| 1 1 -2 | 26.89 | 25 |
| 3 1 -2 | 27.14 | 100 |
| 5 1 -2 | 30.99 | 24 |
| 7 1 -1 | 37.77 | 34 |
| 0 2 0 | 39.03 | 70 |
| 4 2 1 | 47.91 | 35 |


[5]
# CsBa8Sr6
Theoretical XRD peak list, a wavelength of 1.5418 Å. Input: a cell relaxed with GGA-PBE.
Peak positions follow from Bragg's law for the DFT cell and can differ from measured ones.

Crystal structure
```
data_CsBa8Sr6
_chemical_formula_sum 'Cs1 Ba8 Sr6'
_space_group_name_H-M_alt 'P -1'
_space_group_IT_number 2
_cell_length_a 10.727
_cell_length_b 10.773
_cell_length_c 10.823
_cell_angle_alpha 63.41
_cell_angle_beta 63.69
_cell_angle_gamma 63.65
loop_
_space_group_symop_operation_xyz
'x,y,z'
'-x,-y,-z'
loop_
_atom_site_label
_atom_site_type_symbol
_atom_site_fract_x
_atom_site_fract_y
_atom_site_fract_z
Cs1 Cs 0.000 0.000 0.000
Ba1 Ba 0.081 0.642 0.777
Ba2 Ba 0.225 0.922 0.361
Ba3 Ba 0.360 0.223 0.920
Ba4 Ba 0.421 0.426 0.427
Sr1 Sr 0.092 0.272 0.548
Sr2 Sr 0.271 0.546 0.097
Sr3 Sr 0.450 0.903 0.727
```

Top 10 peaks for 2θ = 15–90°, low angle first:
| h k l | two_theta | intensity |
| --- | --- | --- |
| 2 2 2 | 20.78 | 27 |
| -1 2 1 | 24.93 | 100 |
| 2 1 -1 | 24.97 | 56 |
| 2 3 2 | 25.92 | 23 |
| 0 1 3 | 27.60 | 27 |
| 1 3 0 | 27.79 | 25 |
| 3 0 1 | 27.85 | 24 |
| 1 2 -3 | 42.08 | 29 |
| 2 -3 1 | 42.19 | 16 |
| 0 4 -2 | 49.65 | 14 |


[6]
# CsBaTe3
Theoretical XRD peak list, a wavelength of 1.5418 Å. Input: a cell relaxed with GGA-PBE.
Peak positions follow from Bragg's law for the DFT cell and can differ from measured ones.

Crystal structure
```
data_CsBaTe3
_chemical_formula_sum 'Cs4 Ba4 Te12'
_space_group_name_H-M_alt 'P n n a'
_space_group_IT_number 52
_cell_length_a 20.209
_cell_length_b 6.614
_cell_length_c 6.436
_cell_angle_alpha 90.00
_cell_angle_beta 90.00
_cell_angle_gamma 90.00
loop_
_space_group_symop_operation_xyz
'x,y,z'
'-x,-y,-z'
'-x+1/2,-y,z'
'x+1/2,y,-z'
'x,-y+1/2,-z+1/2'
'-x,y+1/2,z+1/2'
'-x+1/2,y+1/2,-z+1/2'
'x+1/2,-y+1/2,z+1/2'
loop_
_atom_site_label
_atom_site_type_symbol
_atom_site_fract_x
_atom_site_fract_y
_atom_site_fract_z
Cs1 Cs 0.250 0.000 0.033
Ba1 Ba 0.002 0.250 0.250
Te1 Te 0.088 0.750 0.250
Te2 Te 0.125 0.069 0.581
```

Top 10 peaks for 2θ = 15–90°, low angle first:
| h k l | two_theta | intensity |
| --- | --- | --- |
| 2 1 1 | 21.17 | 26 |
| 3 1 1 | 23.37 | 40 |
| 4 1 1 | 26.16 | 100 |
| 2 2 0 | 28.40 | 39 |
| 2 0 2 | 29.12 | 34 |
| 5 1 1 | 29.38 | 57 |
| 3 2 1 | 33.24 | 22 |
| 8 0 0 | 35.54 | 24 |
| 0 2 2 | 39.06 | 34 |
| 3 0 3 | 44.32 | 29 |


[7]
# Cs2BaTe10
Theoretical XRD peak list, a wavelength of 1.5418 Å. Input: a cell relaxed with GGA-PBE.
Peak positions follow from Bragg's law for the DFT cell and can differ from measured ones.

Crystal structure
```
data_Cs2BaTe10
_chemical_formula_sum 'Cs4 Ba2 Te20'
_space_group_name_H-M_alt 'P 1 21/c 1'
_space_group_IT_number 14
_cell_length_a 8.433
_cell_length_b 18.423
_cell_length_c 7.308
_cell_angle_alpha 90.00
_cell_angle_beta 92.50
_cell_angle_gamma 90.00
loop_
_space_group_symop_operation_xyz
'x,y,z'
'-x,-y,-z'
'-x,y+1/2,-z+1/2'
'x,-y+1/2,z+1/2'
loop_
_atom_site_label
_atom_site_type_symbol
_atom_site_fract_x
_atom_site_fract_y
_atom_site_fract_z
Cs1 Cs 0.110 0.177 0.316
Ba1 Ba 0.500 0.000 0.000
Te1 Te 0.149 0.093 0.801
Te2 Te 0.183 0.624 0.592
Te3 Te 0.317 0.005 0.548
Te4 Te 0.319 0.655 0.982
Te5 Te 0.441 0.691 0.372
```

Top 10 peaks for 2θ = 15–90°, low angle first:
| h k l | two_theta | intensity |
| --- | --- | --- |
| 2 1 0 | 21.64 | 63 |
| 1 4 0 | 21.97 | 53 |
| 0 4 1 | 22.83 | 63 |
| 2 2 -1 | 25.83 | 44 |
| 1 0 -2 | 26.20 | 33 |
| 1 1 2 | 27.48 | 100 |
| 3 1 -1 | 34.05 | 38 |
| 2 5 -1 | 34.25 | 72 |
| 3 1 1 | 35.08 | 36 |
| 2 1 -3 | 42.36 | 30 |


[8]
# BaCu
Theoretical XRD peak list, a wavelength of 1.5418 Å. Input: a cell relaxed with GGA-PBE.
Peak positions follow from Bragg's law for the DFT cell and can differ from measured ones.

Crystal structure
```
data_BaCu
_chemical_formula_sum 'Ba6 Cu6'
_space_group_name_H-M_alt 'C 1 m 1'
_space_group_IT_number 8
_cell_length_a 11.903
_cell_length_b 4.582
_cell_length_c 8.222
_cell_angle_alpha 90.00
_cell_angle_beta 112.10
_cell_angle_gamma 90.00
loop_
_space_group_symop_operation_xyz
'x,y,z'
'x,-y,z'
'x+1/2,y+1/2,z'
'x+1/2,-y+1/2,z'
loop_
_atom_site_label
_atom_site_type_symbol
_atom_site_fract_x
_atom_site_fract_y
_atom_site_fract_z
Ba1 Ba 0.000 0.000 0.000
Ba2 Ba 0.136 0.500 0.691
Ba3 Ba 0.312 0.500 0.346
Cu1 Cu 0.300 0.000 0.995
Cu2 Cu 0.345 0.000 0.711
Cu3 Cu 0.486 0.000 0.266
```

Top 10 peaks for 2θ = 15–90°, low angle first:
| h k l | two_theta | intensity |
| --- | --- | --- |
| 2 0 -2 | 22.84 | 32 |
| 2 0 1 | 23.20 | 40 |
| 1 1 1 | 25.51 | 79 |
| 1 1 -2 | 29.19 | 92 |
| 3 1 -1 | 29.90 | 100 |
| 4 0 -1 | 30.03 | 35 |
| 0 0 3 | 35.35 | 46 |
| 3 1 1 | 36.58 | 50 |
| 0 2 0 | 39.33 | 46 |
| 6 0 -3 | 49.05 | 38 |